(1)
Computed XRD peak list of MgCuAgAu for a wavelength of 1.5418 Å, from a cell relaxed with PBE.

Top 10 peaks for 10° ≤ 2θ ≤ 80°, most intense first:
2θ 38.61, I 100
2θ 24.73, I 57
2θ 45.31, I 33
2θ 79.17, I 24
2θ 65.00, I 18
2θ 52.30, I 16
2θ 44.00, I 15
2θ 39.83, I 13
2θ 66.01, I 11
2θ 77.29, I 8

Cell and atoms:
Unit cell a=4.0028 b=4.0028 c=8.2311 alpha=90.00 beta=90.00 gamma=90.00
Element x y z (fractional)
Mg1 0.2500 0.2500 0.2357
Mg2 0.7500 0.7500 0.7643
Cu1 0.2500 0.7500 0.0000
Cu2 0.7500 0.2500 0.0000
Ag1 0.2500 0.7500 0.5000
Ag2 0.7500 0.2500 0.5000
Au1 0.2500 0.2500 0.7759
Au2 0.7500 0.7500 0.2241

---

(2)
Computed XRD peak list of CuAg2AuO4 for a wavelength of 1.5418 Å, from a cell relaxed with PBE.

Top 10 peaks for 10° ≤ 2θ ≤ 80°, most intense first:
2θ 35.87, I 100
2θ 27.41, I 74
2θ 26.86, I 48
2θ 53.52, I 42
2θ 38.75, I 37
2θ 54.14, I 30
2θ 68.28, I 19
2θ 20.05, I 16
2θ 20.23, I 12
2θ 62.86, I 10

Cell and atoms:
Unit cell a=5.9434 b=6.5082 c=6.6379 alpha=90.00 beta=90.00 gamma=90.00
Element x y z (fractional)
Cu1 0.0000 0.0000 0.0000
Cu2 0.5000 0.5000 0.5000
Ag1 0.2456 0.0000 0.5000
Ag2 0.2544 0.5000 0.0000
Ag3 0.7456 0.5000 0.0000
Ag4 0.7544 0.0000 0.5000
Au1 0.0000 0.5000 0.5000
Au2 0.5000 0.0000 0.0000
O1 0.2328 0.0000 0.1877
O2 0.2328 0.0000 0.8123
O3 0.2672 0.5000 0.3123
O4 0.2672 0.5000 0.6877
O5 0.7328 0.5000 0.3123
O6 0.7328 0.5000 0.6877
O7 0.7672 0.0000 0.1877
O8 0.7672 0.0000 0.8123

---

(3)
Computed XRD peak list of Cu2Ag2PdAu5 for a wavelength of 1.5418 Å, from a cell relaxed with PBE.

Top 10 peaks for 10° ≤ 2θ ≤ 80°, most intense first:
2θ 37.87, I 100
2θ 41.68, I 41
2θ 40.60, I 37
2θ 43.63, I 32
2θ 21.41, I 24
2θ 30.66, I 23
2θ 61.11, I 22
2θ 44.20, I 17
2θ 77.11, I 16
2θ 76.28, I 13

Cell and atoms:
Unit cell a=9.1629 b=9.1629 c=4.1494 alpha=90.00 beta=90.00 gamma=90.00
Element x y z (fractional)
Cu1 0.1229 0.3771 0.0000
Cu2 0.3771 0.8771 0.0000
Cu3 0.6229 0.1229 0.0000
Cu4 0.8771 0.6229 0.0000
Ag1 0.1724 0.6724 0.0000
Ag2 0.3276 0.1724 0.0000
Ag3 0.6724 0.8276 0.0000
Ag4 0.8276 0.3276 0.0000
Pd1 0.0000 0.0000 0.0000
Pd2 0.5000 0.5000 0.0000
Au1 0.0000 0.5000 0.5000
Au2 0.0794 0.2001 0.5000
Au3 0.2001 0.9206 0.5000
Au4 0.2999 0.4206 0.5000
Au5 0.4206 0.7001 0.5000
Au6 0.5000 0.0000 0.5000
Au7 0.5794 0.2999 0.5000
Au8 0.7001 0.5794 0.5000
Au9 0.7999 0.0794 0.5000
Au10 0.9206 0.7999 0.5000

---

(4)
Computed XRD peak list of Cu2Ag2Pd5Au for a wavelength of 1.5418 Å, from a cell relaxed with PBE.

Top 10 peaks for 10° ≤ 2θ ≤ 80°, most intense first:
2θ 38.81, I 100
2θ 44.55, I 27
2θ 42.73, I 26
2θ 41.68, I 25
2θ 36.00, I 22
2θ 45.40, I 18
2θ 31.38, I 16
2θ 62.65, I 14
2θ 78.21, I 12
2θ 65.49, I 12

Cell and atoms:
Unit cell a=8.9347 b=8.9347 c=4.0672 alpha=90.00 beta=90.00 gamma=90.00
Element x y z (fractional)
Cu1 0.1210 0.3790 0.0000
Cu2 0.3790 0.8790 0.0000
Cu3 0.6210 0.1210 0.0000
Cu4 0.8790 0.6210 0.0000
Ag1 0.1739 0.6739 0.0000
Ag2 0.3261 0.1739 0.0000
Ag3 0.6739 0.8261 0.0000
Ag4 0.8261 0.3261 0.0000
Pd1 0.0000 0.5000 0.5000
Pd2 0.0771 0.2035 0.5000
Pd3 0.2035 0.9229 0.5000
Pd4 0.2965 0.4229 0.5000
Pd5 0.4229 0.7035 0.5000
Pd6 0.5000 0.0000 0.5000
Pd7 0.5771 0.2965 0.5000
Pd8 0.7035 0.5771 0.5000
Pd9 0.7965 0.0771 0.5000
Pd10 0.9229 0.7965 0.5000
Au1 0.0000 0.0000 0.0000
Au2 0.5000 0.5000 0.0000

---

(5)
Computed XRD peak list of DyAg2Au6 for a wavelength of 1.5418 Å, from a cell relaxed with PBE.

Top 10 peaks for 10° ≤ 2θ ≤ 80°, most intense first:
2θ 39.13, I 100
2θ 35.15, I 66
2θ 36.09, I 64
2θ 36.64, I 59
2θ 44.66, I 36
2θ 44.20, I 34
2θ 66.44, I 21
2θ 65.73, I 21
2θ 57.69, I 17
2θ 75.21, I 15

Cell and atoms:
Unit cell a=8.4362 b=8.4362 c=5.1338 alpha=97.66 beta=97.66 gamma=74.49
Element x y z (fractional)
Dy1 0.1365 0.8635 0.7500
Dy2 0.8635 0.1365 0.2500
Ag1 0.2019 0.4658 0.9091
Ag2 0.4658 0.2019 0.4091
Ag3 0.5342 0.7981 0.5909
Ag4 0.7981 0.5342 0.0909
Au1 0.0063 0.7666 0.1993
Au2 0.1048 0.3519 0.3588
Au3 0.2334 0.9937 0.3007
Au4 0.3259 0.5625 0.4635
Au5 0.3519 0.1048 0.8588
Au6 0.4375 0.6741 0.0365
Au7 0.5625 0.3259 0.9635
Au8 0.6481 0.8952 0.1412
Au9 0.6741 0.4375 0.5365
Au10 0.7666 0.0063 0.6993
Au11 0.8952 0.6481 0.6412
Au12 0.9937 0.2334 0.8007

---

(6)
Computed XRD peak list of DyAg2Au for a wavelength of 1.5418 Å, from a cell relaxed with PBE.

Top 10 peaks for 10° ≤ 2θ ≤ 80°, most intense first:
2θ 35.91, I 100
2θ 32.00, I 76
2θ 40.85, I 37
2θ 42.94, I 35
2θ 42.22, I 27
2θ 68.27, I 23
2θ 37.95, I 20
2θ 37.29, I 19
2θ 22.07, I 19
2θ 61.80, I 17

Cell and atoms:
Unit cell a=4.2121 b=8.0540 c=5.4738 alpha=90.00 beta=112.58 gamma=90.00
Element x y z (fractional)
Dy1 0.0621 0.2500 0.1233
Dy2 0.9379 0.7500 0.8767
Ag1 0.3698 0.0557 0.7390
Ag2 0.3698 0.4443 0.7390
Ag3 0.6302 0.5557 0.2610
Ag4 0.6302 0.9443 0.2610
Au1 0.2325 0.7500 0.4663
Au2 0.7675 0.2500 0.5337